For CaNd2Ti2ZnO9, a DFT-relaxed cell (GGA-PBE, Alexandria) gives the theoretical XRD peak list in this record (Cu Ka).
Intensities are scaled so that the largest is 100.

Atomic structure:
```
data_CaNd2Ti2ZnO9
_symmetry_space_group_name_H-M 'P 1'
_symmetry_Int_Tables_number 1
_symmetry_space_group_name_Hall 'P 1'
_cell_length_a 5.4775
_cell_length_b 5.6824
_cell_length_c 23.4429
_cell_angle_alpha 89.95
_cell_angle_beta 89.78
_cell_angle_gamma 89.67
loop_
_atom_site_label
_atom_site_type_symbol
_atom_site_fract_x
_atom_site_fract_y
_atom_site_fract_z
Ca1 Ca 0.0000 0.0000 0.0000
Ca2 Ca 0.0003 0.0016 0.3306
Ca3 Ca 0.4990 0.6082 0.5038
Ca4 Ca 0.5011 0.6064 0.1731
Nd1 Nd 0.0105 0.9933 0.6671
Nd2 Nd 0.4754 0.4916 0.6658
Nd3 Nd 0.4793 0.4845 0.3311
Nd4 Nd 0.4801 0.4838 0.0008
Nd5 Nd 0.5105 0.6071 0.8366
Nd6 Nd 0.9765 0.1055 0.8363
Nd7 Nd 0.9796 0.1077 0.1716
Nd8 Nd 0.9797 0.1076 0.5017
Ti1 Ti 0.0019 0.5515 0.9190
Ti2 Ti 0.4689 0.0340 0.0843
Ti3 Ti 0.4685 0.0347 0.4149
Ti4 Ti 0.4940 0.0497 0.7514
Ti5 Ti 0.9707 0.5589 0.0872
Ti6 Ti 0.9718 0.5592 0.4189
Ti7 Ti 0.9842 0.5535 0.5838
Ti8 Ti 0.9941 0.5569 0.2513
Zn1 Zn 0.4911 0.0461 0.9209
Zn2 Zn 0.4918 0.0441 0.2518
Zn3 Zn 0.4934 0.0475 0.5824
Zn4 Zn 0.9934 0.5492 0.7515
O1 O 0.0837 0.5263 0.1673
O2 O 0.0854 0.5259 0.4977
O3 O 0.0893 0.5187 0.8393
O4 O 0.1849 0.2622 0.5990
O5 O 0.1857 0.2646 0.9376
O6 O 0.1874 0.2648 0.2665
O7 O 0.2055 0.2533 0.4013
O8 O 0.2061 0.2458 0.7342
O9 O 0.2057 0.2535 0.0707
O10 O 0.2809 0.7430 0.5994
O11 O 0.2855 0.7388 0.2657
O12 O 0.2858 0.7382 0.9347
O13 O 0.2919 0.7551 0.0693
O14 O 0.2920 0.7555 0.4001
O15 O 0.3017 0.7626 0.7329
O16 O 0.3944 0.0185 0.8324
O17 O 0.4054 0.0232 0.4954
O18 O 0.4063 0.0236 0.1645
O19 O 0.5894 0.0760 0.0080
O20 O 0.5887 0.0769 0.3389
O21 O 0.5918 0.0812 0.6707
O22 O 0.6877 0.3347 0.7706
O23 O 0.7040 0.3587 0.9055
O24 O 0.7090 0.3590 0.5664
O25 O 0.7102 0.3592 0.2371
O26 O 0.7108 0.3519 0.1021
O27 O 0.7109 0.3525 0.4329
O28 O 0.7829 0.8543 0.7686
O29 O 0.7943 0.8412 0.4331
O30 O 0.7946 0.8410 0.1025
O31 O 0.8001 0.8347 0.9024
O32 O 0.8063 0.8397 0.2369
O33 O 0.8084 0.8438 0.5676
O34 O 0.8958 0.5787 0.6638
O35 O 0.9069 0.5791 0.0054
O36 O 0.9088 0.5771 0.3359
```

The 6 most intense peaks (10 to 80 degrees two-theta), low angle first:
hkl 0 2 0, 31.5°, rel. 27.5
hkl 1 1 6, 32.1°, rel. 31.9
hkl 1 1 -6, 32.3°, rel. 100.0
hkl 2 0 0, 32.7°, rel. 32.3
hkl 2 2 0, 45.9°, rel. 15.6
hkl 0 0 12, 46.5°, rel. 20.6